# 1
Theoretical powder diffraction line list
Compound: TiV3Sb2P6O24
Radiation: Cu Ka
Structure: DFT lattice parameters and positions (PBE+U)
Peak positions follow from Bragg's law for the DFT cell and can differ from measured ones.

Crystal structure
a = 8.7190 Å, b = 8.7190 Å, c = 22.0460 Å
α = 90.00°, β = 90.00°, γ = 120.00°
Space group R3 (No. 146, hexagonal axes)
Inequivalent atoms, fractional coordinates:
Ti 0.0000 0.0000 0.0000
V 0.0000 0.0000 0.2048
V 0.0000 0.0000 0.4966
V 0.0000 0.0000 0.7042
Sb 0.0000 0.0000 0.3456
Sb 0.0000 0.0000 0.8478
P 0.0011 0.2910 0.1020
P 0.0028 0.7110 0.6018
O 0.0026 0.1892 0.0438
O 0.0098 0.8056 0.5434
O 0.0159 0.8315 0.2704
O 0.0197 0.1858 0.7694
O 0.1372 0.6708 0.3269
O 0.1398 0.4666 0.8261
O 0.1674 0.4778 0.0977
O 0.1703 0.6850 0.6015

Main lines, most intense first (10 to 90 degrees two-theta):
2theta  d (Å)  I/Imax  (hkl)
20.37  4.359  100  1 1 0
31.85  2.810  95  2 -1 6
23.73  3.749  72  2 -1 3
35.67  2.517  39  3 0 0
48.56  1.875  34  4 -2 6
24.93  3.572  34  2 0 2


# 2
Theoretical powder diffraction line list
Compound: La2MgFe2Te2O12
Radiation: Cu Ka
Structure: DFT lattice parameters and positions (PBE+U)
Peak positions follow from Bragg's law for the DFT cell and can differ from measured ones.

Crystal structure
a = 5.437 Å, b = 5.457 Å, c = 10.101 Å
α = 89.94°, β = 89.77°, γ = 60.24°
Space group P1 (No. 1)
Inequivalent atoms, fractional coordinates:
La 0.000 0.000 0.000
La 0.001 0.999 0.496
Mg 0.335 0.333 0.520
Fe 0.335 0.332 0.784
Fe 0.665 0.672 0.259
Te 0.334 0.332 0.240
Te 0.667 0.666 0.742
O 0.017 0.627 0.147
O 0.052 0.345 0.373
O 0.353 0.021 0.144
O 0.354 0.605 0.369
O 0.372 0.667 0.851
O 0.388 0.989 0.632
O 0.608 0.048 0.370
O 0.625 0.352 0.143
O 0.626 0.386 0.632
O 0.669 0.958 0.851
O 0.959 0.373 0.852
O 0.991 0.624 0.632

Main lines, most intense first (10 to 90 degrees two-theta):
2theta  d (Å)  I/Imax  (hkl)
25.80  3.454  100  1 0 2
25.89  3.441  50  1 1 -2
32.79  2.731  48  1 -1 0
49.16  1.853  41  1 2 4
32.95  2.718  22  2 1 0
42.16  2.143  19  0 2 -2


# 3
Theoretical powder diffraction line list
Compound: KCaSmWO6
Radiation: Cu Ka
Structure: DFT lattice parameters and positions (PBE+U)
Peak positions follow from Bragg's law for the DFT cell and can differ from measured ones.

Crystal structure
a = 8.461 Å, b = 8.461 Å, c = 8.461 Å
α = 90.00°, β = 90.00°, γ = 90.00°
Space group F-43m (No. 216)
Inequivalent atoms, fractional coordinates:
K 0.000 0.000 0.000
Ca 0.000 0.000 0.500
Sm 0.250 0.250 0.750
W 0.250 0.250 0.250
O 0.020 0.250 0.250

Main lines, most intense first (10 to 90 degrees two-theta):
2theta  d (Å)  I/Imax  (hkl)
29.87  2.991  100  2 2 0
21.00  4.231  65  2 0 0
53.02  1.727  40  4 2 2
42.75  2.115  33  4 0 0
48.09  1.892  29  4 2 0
85.97  1.131  21  6 4 2


# 4
Theoretical powder diffraction line list
Compound: Li5Fe2P2C2O14
Radiation: Cu Ka
Structure: DFT lattice parameters and positions (PBE+U)
Peak positions follow from Bragg's law for the DFT cell and can differ from measured ones.

Crystal structure
a = 5.066 Å, b = 8.446 Å, c = 13.022 Å
α = 90.08°, β = 90.65°, γ = 95.30°
Space group P-1 (No. 2)
Inequivalent atoms, fractional coordinates:
Li 0.227 0.100 0.138
Li 0.242 0.087 0.616
Li 0.249 0.725 0.979
Li 0.250 0.716 0.274
Li 0.266 0.732 0.497
Fe 0.204 0.337 0.873
Fe 0.205 0.327 0.374
P 0.276 0.416 0.623
P 0.278 0.417 0.122
C 0.303 0.030 0.379
C 0.305 0.048 0.882
O 0.057 0.080 0.878
O 0.061 0.067 0.371
O 0.157 0.579 0.126
O 0.161 0.314 0.029
O 0.165 0.576 0.612
O 0.170 0.325 0.723
O 0.179 0.296 0.536
O 0.219 0.311 0.215
O 0.359 0.883 0.372
O 0.380 0.910 0.895
O 0.415 0.564 0.372
O 0.417 0.544 0.894
O 0.479 0.174 0.874
O 0.492 0.142 0.394

Main lines, most intense first (10 to 90 degrees two-theta):
2theta  d (Å)  I/Imax  (hkl)
27.40  3.255  100  0 0 4
10.52  8.410  86  0 1 0
21.36  4.159  60  1 1 0
19.67  4.513  42  1 -1 0
26.31  3.387  36  1 -2 0
17.23  5.148  30  0 1 2


# 5
Theoretical powder diffraction line list
Compound: SrCa7Mn8O22
Radiation: Cu Ka
Structure: DFT lattice parameters and positions (PBE+U)
Peak positions follow from Bragg's law for the DFT cell and can differ from measured ones.

Crystal structure
a = 10.893 Å, b = 10.898 Å, c = 7.654 Å
α = 90.00°, β = 90.00°, γ = 90.00°
Space group Cmmm (No. 65)
Inequivalent atoms, fractional coordinates:
Sr 0.000 0.000 0.000
Ca 0.000 0.000 0.500
Ca 0.000 0.500 0.000
Ca 0.000 0.500 0.500
Ca 0.250 0.250 0.000
Ca 0.250 0.250 0.500
Mn 0.000 0.251 0.245
Mn 0.249 0.500 0.258
O 0.000 0.251 0.000
O 0.000 0.252 0.500
O 0.127 0.378 0.228
O 0.129 0.125 0.234
O 0.249 0.500 0.500

Main lines, most intense first (10 to 90 degrees two-theta):
2theta  d (Å)  I/Imax  (hkl)
32.99  2.715  100  2 2 2
47.19  1.926  44  4 4 0
32.88  2.724  42  4 0 0
58.78  1.571  35  6 2 2
69.21  1.357  22  4 4 4
47.52  1.914  20  0 0 4


# 6
Theoretical powder diffraction line list
Compound: SrCa7Mn7CrO20
Radiation: Cu Ka
Structure: DFT lattice parameters and positions (PBE+U)
Peak positions follow from Bragg's law for the DFT cell and can differ from measured ones.

Crystal structure
a = 11.058 Å, b = 11.179 Å, c = 7.680 Å
α = 90.00°, β = 92.46°, γ = 90.00°
Space group Cm (No. 8)
Inequivalent atoms, fractional coordinates:
Sr 0.000 0.000 0.000
Ca 0.005 0.500 0.018
Ca 0.018 0.500 0.475
Ca 0.255 0.261 0.009
Ca 0.261 0.266 0.460
Ca 0.477 0.500 0.449
Mn 0.006 0.246 0.749
Mn 0.244 0.500 0.239
Mn 0.244 0.500 0.741
Mn 0.249 0.000 0.272
Mn 0.496 0.246 0.241
Cr 0.235 0.000 0.733
O 0.115 0.385 0.783
O 0.121 0.123 0.273
O 0.126 0.378 0.216
O 0.161 0.132 0.807
O 0.238 0.500 0.489
O 0.317 0.000 0.539
O 0.363 0.123 0.216
O 0.367 0.380 0.236
O 0.369 0.374 0.746
O 0.473 0.244 0.990
O 0.487 0.233 0.497

Main lines, most intense first (10 to 90 degrees two-theta):
2theta  d (Å)  I/Imax  (hkl)
32.08  2.790  100  2 2 -2
33.13  2.704  64  2 2 2
46.21  1.965  52  4 4 0
32.42  2.762  29  4 0 0
47.39  1.918  22  0 0 4
56.97  1.616  12  6 2 -2